(1)
Starting from a PBE-relaxed structure, the XRD peak list of SmCuTeS was computed for Cu Kα (λ = 1.5418 Å).
Intensities are scaled so that the largest is 100.

Crystal structure
a b c (Å): 7.5671 7.5940 12.7029
angles (deg): 90.00 90.00 90.00
Space group Pbca (No. 61)
Asymmetric unit:
Sm: 0.0224 0.2405 0.0684 (multiplicity 8)
Cu: 0.1695 0.0712 0.2908 (multiplicity 8)
Te: 0.1093 0.7220 0.6927 (multiplicity 8)
S: 0.2401 0.0020 0.4618 (multiplicity 8)

The 10 most intense peaks (2θ from 10° to 90°), by intensity:
hkl 1 1 4, 2θ 32.8, I = 100.0; hkl 0 2 0, 2θ 23.4, I = 40.5; hkl 1 2 2, 2θ 29.9, I = 37.7; hkl 2 2 0, 2θ 33.4, I = 36.6; hkl 1 3 4, 2θ 47.5, I = 23.6; hkl 3 1 2, 2θ 40.3, I = 21.7; hkl 2 3 2, 2θ 45.4, I = 21.3; hkl 2 1 1, 2θ 27.2, I = 14.8; hkl 1 2 6, 2θ 50.8, I = 13.6; hkl 4 0 2, 2θ 50.3, I = 11.4

---

(2)
Starting from a PBE-relaxed structure, the XRD peak list of Cu2SnS3 was computed for Cu Kα (λ = 1.5418 Å).
Intensities are scaled so that the largest is 100.

Crystal structure
a b c (Å): 3.8937 11.5720 5.4436
angles (deg): 90.00 90.00 90.00
Space group Imm2 (No. 44)
Asymmetric unit:
Cu: 0.0000 0.1697 0.0000 (multiplicity 4)
Sn: 0.0000 0.5000 0.9739 (multiplicity 2)
S: 0.0000 0.0000 0.7751 (multiplicity 2)
S: 0.0000 0.3232 0.7299 (multiplicity 4)

The 10 most intense peaks (2θ from 10° to 90°), by intensity:
hkl 1 0 1, 2θ 28.2, I = 100.0; hkl 0 3 1, 2θ 28.4, I = 92.1; hkl 0 6 0, 2θ 47.1, I = 91.0; hkl 1 6 1, 2θ 55.8, I = 39.4; hkl 2 3 1, 2θ 55.5, I = 26.8; hkl 1 3 0, 2θ 32.7, I = 22.1; hkl 2 0 0, 2θ 46.7, I = 19.6; hkl 0 9 1, 2θ 76.1, I = 14.0; hkl 0 3 3, 2θ 56.0, I = 13.6; hkl 3 3 2, 2θ 86.9, I = 12.3

---

(3)
Starting from a PBE-relaxed structure, the XRD peak list of Cu2SnS3 was computed for Cu Kα (λ = 1.5418 Å).
Intensities are scaled so that the largest is 100.

Crystal structure
a b c (Å): 7.7456 23.2133 10.9899
angles (deg): 90.00 90.00 90.00
Space group Fdd2 (No. 43)
Asymmetric unit:
Cu: 0.0000 0.0000 0.0000 (multiplicity 8)
Cu: 0.0000 0.0000 0.4925 (multiplicity 8)
Cu: 0.0078 0.1667 0.4900 (multiplicity 16)
Sn: 0.0126 0.3295 0.4937 (multiplicity 16)
S: 0.0025 0.2547 0.8605 (multiplicity 16)
S: 0.0150 0.4167 0.8773 (multiplicity 16)
S: 0.0159 0.0784 0.8670 (multiplicity 16)

The 10 most intense peaks (2θ from 10° to 90°), by intensity:
hkl 0 6 2, 2θ 28.2, I = 100.0; hkl 2 6 4, 2θ 46.9, I = 47.8; hkl 2 12 2, 2θ 55.7, I = 26.9; hkl 2 0 6, 2θ 55.5, I = 14.1; hkl 2 18 4, 2θ 87.2, I = 11.2; hkl 2 6 0, 2θ 32.7, I = 11.2; hkl 2 12 6, 2θ 75.6, I = 10.5; hkl 0 12 0, 2θ 47.0, I = 9.5; hkl 0 12 8, 2θ 87.0, I = 6.0; hkl 0 0 4, 2θ 32.6, I = 5.8

---

(4)
Starting from a PBE-relaxed structure, the XRD peak list of Cu2SnS3 was computed for Cu Kα (λ = 1.5418 Å).
Intensities are scaled so that the largest is 100.

Crystal structure
a b c (Å): 6.6935 11.5943 6.7232
angles (deg): 90.00 109.69 90.00
Space group Cc (No. 9)
Asymmetric unit:
Cu: 0.0000 0.0815 0.0000 (multiplicity 4)
Cu: 0.4874 0.2520 0.9985 (multiplicity 4)
Sn: 0.4781 0.0926 0.4821 (multiplicity 4)
S: 0.0911 0.0847 0.3637 (multiplicity 4)
S: 0.1221 0.2386 0.8624 (multiplicity 4)
S: 0.1289 0.4085 0.3831 (multiplicity 4)

The 10 most intense peaks (2θ from 10° to 90°), by intensity:
hkl 0 0 2, 2θ 28.2, I = 100.0; hkl 3 3 -1, 2θ 47.0, I = 49.8; hkl 2 0 0, 2θ 28.3, I = 32.0; hkl 4 0 -2, 2θ 55.7, I = 30.9; hkl 1 3 -3, 2θ 46.9, I = 25.8; hkl 1 3 1, 2θ 32.8, I = 14.8; hkl 3 3 -3, 2θ 55.6, I = 9.4; hkl 3 3 1, 2θ 55.9, I = 9.2; hkl 2 0 4, 2θ 75.8, I = 9.0; hkl 4 6 -4, 2θ 87.2, I = 7.8

---

(5)
Starting from a PBE-relaxed structure, the XRD peak list of CuSn4S8 was computed for Cu Kα (λ = 1.5418 Å).
Intensities are scaled so that the largest is 100.

Crystal structure
a b c (Å): 10.6014 10.6014 10.6014
angles (deg): 90.00 90.00 90.00
Space group F-43m (No. 216)
Asymmetric unit:
Cu: 0.0000 0.0000 0.0000 (multiplicity 4)
Sn: 0.1215 0.1215 0.3785 (multiplicity 16)
S: 0.1239 0.1239 0.6239 (multiplicity 16)
S: 0.1271 0.1271 0.1271 (multiplicity 16)

The 10 most intense peaks (2θ from 10° to 90°), by intensity:
hkl 3 1 1, 2θ 27.9, I = 100.0; hkl 4 4 0, 2θ 48.6, I = 82.8; hkl 4 0 0, 2θ 33.8, I = 82.1; hkl 1 1 1, 2θ 14.5, I = 72.6; hkl 5 1 1, 2θ 44.4, I = 41.9; hkl 8 4 0, 2θ 81.1, I = 26.7; hkl 5 5 3, 2θ 67.9, I = 24.3; hkl 3 3 1, 2θ 37.0, I = 22.8; hkl 4 4 4, 2θ 60.5, I = 19.7; hkl 5 3 1, 2θ 51.0, I = 18.0

---

(6)
Starting from a PBE-relaxed structure, the XRD peak list of TiCuSnS4 was computed for Cu Kα (λ = 1.5418 Å).
Intensities are scaled so that the largest is 100.

Crystal structure
a b c (Å): 7.1573 7.4648 10.3947
angles (deg): 90.00 90.00 90.00
Space group Imma (No. 74)
Asymmetric unit:
Ti: 0.2500 0.2500 0.2500 (multiplicity 4)
Cu: 0.0000 0.2500 0.6301 (multiplicity 4)
Sn: 0.0000 0.0000 0.0000 (multiplicity 4)
S: 0.0000 0.0179 0.2527 (multiplicity 8)
S: 0.2439 0.2500 0.4843 (multiplicity 8)

The 10 most intense peaks (2θ from 10° to 90°), by intensity:
hkl 1 2 1, 2θ 28.3, I = 100.0; hkl 2 2 4, 2θ 49.8, I = 81.4; hkl 2 2 0, 2θ 34.7, I = 47.9; hkl 1 0 3, 2θ 28.6, I = 46.7; hkl 1 0 1, 2θ 15.0, I = 32.6; hkl 2 1 1, 2θ 29.0, I = 28.2; hkl 0 0 4, 2θ 34.5, I = 23.8; hkl 0 4 0, 2θ 48.8, I = 21.8; hkl 1 1 2, 2θ 24.3, I = 21.6; hkl 2 0 0, 2θ 24.9, I = 21.6

---

(7)
Starting from a PBE-relaxed structure, the XRD peak list of Tl2Cu2SnS4 was computed for Cu Kα (λ = 1.5418 Å).
Intensities are scaled so that the largest is 100.

Crystal structure
a b c (Å): 5.3186 11.6453 13.6967
angles (deg): 90.00 90.00 90.00
Space group Ibam (No. 72)
Asymmetric unit:
Tl: 0.2367 0.1204 0.0000 (multiplicity 8)
Cu: 0.0000 0.2262 0.2500 (multiplicity 8)
Sn: 0.0000 0.5000 0.2500 (multiplicity 4)
S: 0.2323 0.3685 0.1448 (multiplicity 16)

The 10 most intense peaks (2θ from 10° to 90°), by intensity:
hkl 1 2 3, 2θ 30.0, I = 100.0; hkl 1 2 1, 2θ 23.6, I = 64.6; hkl 0 4 2, 2θ 33.4, I = 50.4; hkl 2 0 2, 2θ 36.2, I = 43.7; hkl 0 0 4, 2θ 26.0, I = 38.2; hkl 2 4 0, 2θ 46.2, I = 31.9; hkl 1 2 5, 2θ 40.1, I = 29.8; hkl 0 4 6, 2θ 50.8, I = 22.1; hkl 2 0 6, 2θ 52.9, I = 20.7; hkl 2 4 4, 2θ 53.8, I = 20.0